# K2AlTlF6
Calculated X-ray powder pattern, λ = 1.5418 Å (Cu Kα). Input: DFT lattice parameters and positions (PBE).
Lines closer than 0.1° are merged.

Main lines, low angle first (10° ≤ 2θ ≤ 80°):
2θ = 17.16°, d 5.169, I 49, (1 1 1)
2θ = 19.83°, d 4.476, I 54, (2 0 0)
2θ = 28.19°, d 3.165, I 100, (2 2 0)
2θ = 33.19°, d 2.699, I 53, (3 1 1)
2θ = 40.30°, d 2.238, I 39, (4 0 0)
2θ = 44.09°, d 2.054, I 36, (3 3 1)
2θ = 45.30°, d 2.002, I 21, (4 2 0)
2θ = 49.91°, d 1.827, I 35, (4 2 2)
2θ = 53.16°, d 1.723, I 16, (3 3 3)
2θ = 58.30°, d 1.583, I 22, (4 4 0)
2θ = 61.26°, d 1.513, I 14, (5 3 1)
2θ = 66.00°, d 1.415, I 22, (6 2 0)

Atomic structure:
```
data_K2AlTlF6
_symmetry_space_group_name_H-M 'F m -3 m'
_symmetry_Int_Tables_number 225
_symmetry_space_group_name_Hall '-F 4 2 3'
_cell_length_a 8.9524
_cell_length_b 8.9524
_cell_length_c 8.9524
_cell_angle_alpha 90.00
_cell_angle_beta 90.00
_cell_angle_gamma 90.00
loop_
_atom_site_label
_atom_site_fract_x
_atom_site_fract_y
_atom_site_fract_z
K1 0.2500 0.2500 0.2500
Al1 0.0000 0.0000 0.0000
Tl1 0.0000 0.0000 0.5000
F1 0.0000 0.0000 0.2052
```